Er15Fe4Ru4C25: computed XRD peak list (Cu Kα (weighted mean of Kα1 and Kα2)), based on a DFT-relaxed cell (GGA-PBE, the Materials Project).
Intensities are scaled so that the largest is 100.

Peak list (12 most intense, 10° ≤ 2θ ≤ 80°, low angle first)
d (Å)	2θ (°)	intensity
3.107	28.7	100
3.001	29.8	29
2.862	31.3	17
2.507	35.8	30
2.466	36.4	34
2.385	37.7	32
2.314	38.9	17
2.269	39.7	16
2.159	41.8	14
2.132	42.4	17
1.582	58.3	17
1.554	59.5	22

Atomic structure:
a b c (Å): 5.076 12.004 12.004
angles (deg): 60.02 89.99 89.98
Space group P1 (No. 1)
Inequivalent atoms, fractional coordinates:
Er: 0.000 0.000 0.000 (multiplicity 1)
Er: 0.000 0.124 0.218 (multiplicity 1)
Er: 0.000 0.782 0.343 (multiplicity 1)
Er: 0.010 0.043 0.563 (multiplicity 1)
Er: 0.010 0.345 0.737 (multiplicity 1)
Er: 0.010 0.519 0.261 (multiplicity 1)
Er: 0.264 0.467 0.023 (multiplicity 1)
Er: 0.264 0.635 0.685 (multiplicity 1)
Er: 0.264 0.805 0.853 (multiplicity 1)
Er: 0.501 0.232 0.969 (multiplicity 1)
Er: 0.501 0.751 0.142 (multiplicity 1)
Er: 0.501 0.923 0.450 (multiplicity 1)
Er: 0.513 0.147 0.707 (multiplicity 1)
Er: 0.513 0.271 0.365 (multiplicity 1)
Er: 0.513 0.489 0.489 (multiplicity 1)
Fe: 0.024 0.302 0.520 (multiplicity 1)
Fe: 0.768 0.380 0.109 (multiplicity 1)
Fe: 0.768 0.637 0.597 (multiplicity 1)
Fe: 0.768 0.891 0.854 (multiplicity 1)
Ru: 0.499 0.969 0.187 (multiplicity 1)
Ru: 0.764 0.499 0.854 (multiplicity 1)
Ru: 0.764 0.636 0.990 (multiplicity 1)
Ru: 0.764 0.772 0.717 (multiplicity 1)
C: 0.000 0.212 0.977 (multiplicity 1)
C: 0.000 0.759 0.154 (multiplicity 1)
C: 0.000 0.935 0.430 (multiplicity 1)
C: 0.010 0.636 0.854 (multiplicity 1)
C: 0.016 0.163 0.683 (multiplicity 1)
C: 0.016 0.279 0.381 (multiplicity 1)
C: 0.016 0.465 0.497 (multiplicity 1)
C: 0.497 0.793 0.334 (multiplicity 1)
C: 0.498 0.116 0.216 (multiplicity 1)
C: 0.498 0.997 0.011 (multiplicity 1)
C: 0.516 0.061 0.553 (multiplicity 1)
C: 0.516 0.335 0.729 (multiplicity 1)
C: 0.516 0.511 0.279 (multiplicity 1)
C: 0.521 0.243 0.172 (multiplicity 1)
C: 0.521 0.710 0.462 (multiplicity 1)
C: 0.521 0.953 0.928 (multiplicity 1)
C: 0.560 0.441 0.743 (multiplicity 1)
C: 0.560 0.525 0.159 (multiplicity 1)
C: 0.560 0.941 0.659 (multiplicity 1)
C: 0.945 0.826 0.546 (multiplicity 1)
C: 0.946 0.328 0.971 (multiplicity 1)
C: 0.946 0.752 0.045 (multiplicity 1)
C: 0.995 0.036 0.773 (multiplicity 1)
C: 0.995 0.315 0.255 (multiplicity 1)
C: 0.995 0.555 0.533 (multiplicity 1)


Ba11Cd8Bi14: computed XRD peak list (Cu Kα (weighted mean of Kα1 and Kα2)), based on a DFT-relaxed cell (GGA-PBE, the Materials Project).
Intensities are scaled so that the largest is 100.

Peak list (12 most intense, 10° ≤ 2θ ≤ 80°, low angle first)
d (Å)	2θ (°)	intensity
3.736	23.8	54
3.599	24.7	35
3.328	26.8	27
3.252	27.4	38
3.238	27.5	30
3.138	28.4	62
3.114	28.7	100
3.075	29.0	33
3.073	29.1	32
2.829	31.6	32
2.509	35.8	97
2.006	45.2	27

Atomic structure:
a b c (Å): 5.018 14.614 17.215
angles (deg): 88.56 90.00 80.19
Space group P-1 (No. 2)
Inequivalent atoms, fractional coordinates:
Ba: 0.000 0.000 0.000 (multiplicity 1)
Ba: 0.118 0.765 0.160 (multiplicity 2)
Ba: 0.153 0.690 0.900 (multiplicity 2)
Ba: 0.250 0.505 0.704 (multiplicity 2)
Ba: 0.353 0.289 0.465 (multiplicity 2)
Ba: 0.494 0.017 0.634 (multiplicity 2)
Cd: 0.100 0.811 0.685 (multiplicity 2)
Cd: 0.131 0.745 0.388 (multiplicity 2)
Cd: 0.305 0.403 0.959 (multiplicity 2)
Cd: 0.444 0.122 0.159 (multiplicity 2)
Bi: 0.006 0.980 0.791 (multiplicity 2)
Bi: 0.061 0.886 0.518 (multiplicity 2)
Bi: 0.229 0.542 0.461 (multiplicity 2)
Bi: 0.237 0.515 0.117 (multiplicity 2)
Bi: 0.347 0.299 0.262 (multiplicity 2)
Bi: 0.367 0.260 0.699 (multiplicity 2)
Bi: 0.410 0.187 0.988 (multiplicity 2)


MoPt2Br: computed XRD peak list (Cu Kα (weighted mean of Kα1 and Kα2)), based on a DFT-relaxed cell (GGA-PBE, the Materials Project).
Intensities are scaled so that the largest is 100.

Peak list (7 most intense, 10° ≤ 2θ ≤ 80°, low angle first)
d (Å)	2θ (°)	intensity
3.721	23.9	15
2.278	39.6	100
1.943	46.8	9
1.611	57.2	17
1.478	62.9	4
1.315	71.8	35
1.240	76.9	3

Atomic structure:
a b c (Å): 6.444 6.444 6.444
angles (deg): 90.00 90.00 90.00
Space group F-43m (No. 216)
Inequivalent atoms, fractional coordinates:
Mo: 0.000 0.000 0.000 (multiplicity 4)
Pt: 0.000 0.000 0.500 (multiplicity 4)
Pt: 0.250 0.250 0.250 (multiplicity 4)
Br: 0.250 0.250 0.750 (multiplicity 4)